Entry 1:
Structure and theoretical powder X-ray diffraction pattern of CaAlIBr4 (the GGA-PBE geometry in Alexandria; CuKα).

Top 6 peaks for 10 to 90 degrees two-theta, most intense first:
d = 3.229 Å, 27.63°, I = 100
d = 3.328 Å, 26.79°, I = 88
d = 4.388 Å, 20.24°, I = 78
d = 3.148 Å, 28.35°, I = 77
d = 2.633 Å, 34.04°, I = 73
d = 3.987 Å, 22.30°, I = 57

Lattice parameters (Å, degrees): 9.021 9.021 10.037 91.38 91.38 47.56
Positions (direct):
Ca1 0.132 0.132 0.006
Ca2 0.868 0.868 0.994
Al1 0.319 0.319 0.241
Al2 0.681 0.681 0.759
I1 0.002 0.002 0.788
I2 0.998 0.998 0.212
Br1 0.021 0.515 0.809
Br2 0.371 0.371 0.450
Br3 0.407 0.407 0.065
Br4 0.485 0.979 0.191
Br5 0.515 0.021 0.809
Br6 0.593 0.593 0.935
Br7 0.629 0.629 0.550
Br8 0.979 0.485 0.191

***

Entry 2:
Structure and theoretical powder X-ray diffraction pattern of CoPPdCl2 (the GGA-PBE geometry in Alexandria; CuKα).

Top 6 peaks for 10 to 90 degrees two-theta, most intense first:
d = 3.147 Å, 28.36°, I = 100
d = 2.331 Å, 38.63°, I = 81
d = 2.608 Å, 34.38°, I = 67
d = 3.296 Å, 27.05°, I = 48
d = 1.873 Å, 48.61°, I = 45
d = 1.574 Å, 58.67°, I = 44

Lattice parameters (Å, degrees): 4.661 4.661 4.267 90.00 90.00 90.00
Positions (direct):
Co1 0.000 0.000 0.000
P1 0.000 0.000 0.500
Pd1 0.500 0.500 0.500
Cl1 0.000 0.500 0.000
Cl2 0.500 0.000 0.000